PmTa2MnO8: calculated X-ray diffraction stick pattern (Cu Kα (weighted mean of Kα1 and Kα2)), based on the GGA+U geometry in Alexandria.
Kinematic intensities with the Lorentz-polarization factor, no thermal factor.

Principal peaks in the range 2θ from 10° to 90°, most intense first:
two_theta	I_rel
24.3	100
26.5	78
33.3	69
33.4	67
36.3	43
48.6	33
17.9	31
49.0	28
51.3	25
51.4	25

a = 4.9702 Å, b = 4.9702 Å, c = 6.3967 Å
α = 90.37°, β = 90.37°, γ = 84.99°
Fractional positions:
Pm (0.0000, 0.0000, 0.0000)
Ta (0.4810, 0.4810, 0.7381)
Ta (0.5190, 0.5190, 0.2619)
Mn (0.0000, 0.0000, 0.5000)
O (0.2018, 0.7884, 0.2837)
O (0.2116, 0.7982, 0.7163)
O (0.3208, 0.3208, 0.5000)
O (0.3277, 0.3277, 0.9913)
O (0.6723, 0.6723, 0.0087)
O (0.6792, 0.6792, 0.5000)
O (0.7884, 0.2018, 0.2837)
O (0.7982, 0.2116, 0.7163)